No. 1
Diffraction record for Nd3Sm5S8. The PXRD pattern is calculated, not measured: it uses the GGA-PBE geometry in Alexandria and Cu Kα (λ = 1.5418 Å).
Lines closer than 0.1° are merged.

Peak list (6 most intense, 15° ≤ 2θ ≤ 90°, by intensity)
(hkl), d_spacing, Rel. int.
0 2 4, 2.852, 100
2 0 2, 3.293, 76
2 2 0, 2.017, 72
2 2 6, 1.720, 38
2 4 4, 1.275, 32
4 0 4, 1.646, 25

a = 8.0635 Å, b = 8.0635 Å, c = 19.7706 Å
α = 90.00°, β = 90.00°, γ = 120.00°
Space group R-3m (No. 166, hexagonal axes)
Unique sites:
Nd  0.0000  0.5000  0.0000 (multiplicity 9)
Sm  0.0000  0.0000  0.0000 (multiplicity 3)
Sm  0.0000  0.0000  0.5000 (multiplicity 3)
Sm  0.0000  0.5000  0.5000 (multiplicity 9)
S  0.0000  0.0000  0.2480 (multiplicity 6)
S  0.0026  0.5013  0.7513 (multiplicity 18)


No. 2
Diffraction record for Nd2SmS4. The PXRD pattern is calculated, not measured: it uses the GGA-PBE geometry in Alexandria and Cu Kα (λ = 1.5418 Å).
Lines closer than 0.1° are merged.

Peak list (6 most intense, 15° ≤ 2θ ≤ 90°, by intensity)
(hkl), d_spacing, Rel. int.
0 2 3, 3.738, 100
1 3 2, 2.707, 51
1 1 5, 2.192, 44
1 3 1, 2.887, 37
1 1 1, 3.628, 27
0 6 3, 2.009, 27

a = 3.924 Å, b = 13.482 Å, c = 13.473 Å
α = 90.00°, β = 90.00°, γ = 90.00°
Space group Cmcm (No. 63)
Unique sites:
Nd  0.000  0.129  0.071 (multiplicity 8)
Sm  0.000  0.373  0.250 (multiplicity 4)
S  0.000  0.023  0.250 (multiplicity 4)
S  0.000  0.222  0.624 (multiplicity 8)
S  0.000  0.500  0.000 (multiplicity 4)


No. 3
Diffraction record for NdSm5S6. The PXRD pattern is calculated, not measured: it uses the GGA-PBE geometry in Alexandria and Cu Kα (λ = 1.5418 Å).
Lines closer than 0.1° are merged.

Peak list (6 most intense, 15° ≤ 2θ ≤ 90°, by intensity)
(hkl), d_spacing, Rel. int.
1 3 1, 2.842, 100
3 3 -1, 2.010, 48
1 3 -1, 3.289, 38
2 0 0, 3.274, 38
2 6 0, 1.716, 22
4 6 0, 1.271, 16

a = 6.959 Å, b = 12.092 Å, c = 6.952 Å
α = 90.00°, β = 109.72°, γ = 90.00°
Space group C2/m (No. 12)
Unique sites:
Nd  0.000  0.000  0.000 (multiplicity 2)
Sm  0.000  0.165  0.500 (multiplicity 4)
Sm  0.000  0.334  0.000 (multiplicity 4)
Sm  0.000  0.500  0.500 (multiplicity 2)
S  0.247  0.500  0.251 (multiplicity 4)
S  0.248  0.332  0.748 (multiplicity 8)


No. 4
Diffraction record for NdSm4S4. The PXRD pattern is calculated, not measured: it uses the GGA-PBE geometry in Alexandria and Cu Kα (λ = 1.5418 Å).
Lines closer than 0.1° are merged.

Peak list (6 most intense, 15° ≤ 2θ ≤ 90°, by intensity)
(hkl), d_spacing, Rel. int.
0 0 2, 2.827, 100
1 2 1, 3.264, 93
3 1 2, 1.999, 72
1 2 3, 1.705, 45
3 1 4, 1.264, 32
2 4 2, 1.632, 25

a = 8.944 Å, b = 8.944 Å, c = 5.650 Å
α = 90.00°, β = 90.00°, γ = 90.00°
Space group I4/m (No. 87)
Unique sites:
Nd  0.000  0.000  0.000 (multiplicity 2)
Sm  0.105  0.696  0.500 (multiplicity 8)
S  0.100  0.696  0.000 (multiplicity 8)


No. 5
Diffraction record for NdSn2S4. The PXRD pattern is calculated, not measured: it uses the GGA-PBE geometry in Alexandria and Cu Kα (λ = 1.5418 Å).
Lines closer than 0.1° are merged.

Peak list (6 most intense, 15° ≤ 2θ ≤ 90°, by intensity)
(hkl), d_spacing, Rel. int.
0 2 3, 3.689, 100
1 3 2, 2.679, 55
1 3 1, 2.857, 54
0 6 3, 1.972, 48
1 1 5, 2.175, 39
1 1 2, 3.271, 30

a = 3.914 Å, b = 13.205 Å, c = 13.343 Å
α = 90.00°, β = 90.00°, γ = 90.00°
Space group Cmcm (No. 63)
Unique sites:
Nd  0.000  0.114  0.250 (multiplicity 4)
Sn  0.000  0.369  0.066 (multiplicity 8)
S  0.000  0.000  0.000 (multiplicity 4)
S  0.000  0.281  0.623 (multiplicity 8)
S  0.000  0.461  0.250 (multiplicity 4)


No. 6
Diffraction record for Nd7SnS5. The PXRD pattern is calculated, not measured: it uses the GGA-PBE geometry in Alexandria and Cu Kα (λ = 1.5418 Å).
Lines closer than 0.1° are merged.

Peak list (6 most intense, 15° ≤ 2θ ≤ 90°, by intensity)
(hkl), d_spacing, Rel. int.
0 2 7, 3.083, 100
1 3 2, 2.953, 73
1 3 3, 2.850, 49
1 1 4, 3.324, 47
2 2 7, 1.724, 29
2 0 0, 2.079, 26

a = 4.159 Å, b = 13.399 Å, c = 24.330 Å
α = 90.00°, β = 90.00°, γ = 90.00°
Space group Cmcm (No. 63)
Unique sites:
Nd  0.000  0.025  0.250 (multiplicity 4)
Nd  0.000  0.136  0.536 (multiplicity 8)
Nd  0.000  0.324  0.173 (multiplicity 8)
Nd  0.000  0.407  0.610 (multiplicity 8)
Sn  0.000  0.299  0.750 (multiplicity 4)
S  0.000  0.043  0.641 (multiplicity 8)
S  0.000  0.228  0.070 (multiplicity 8)
S  0.000  0.500  0.000 (multiplicity 4)


Copy entry 5 word for word.
Diffraction record for NdSn2S4. The PXRD pattern is calculated, not measured: it uses the GGA-PBE geometry in Alexandria and Cu Kα (λ = 1.5418 Å).
Lines closer than 0.1° are merged.

Peak list (6 most intense, 15° ≤ 2θ ≤ 90°, by intensity)
(hkl), d_spacing, Rel. int.
0 2 3, 3.689, 100
1 3 2, 2.679, 55
1 3 1, 2.857, 54
0 6 3, 1.972, 48
1 1 5, 2.175, 39
1 1 2, 3.271, 30

a = 3.914 Å, b = 13.205 Å, c = 13.343 Å
α = 90.00°, β = 90.00°, γ = 90.00°
Space group Cmcm (No. 63)
Unique sites:
Nd  0.000  0.114  0.250 (multiplicity 4)
Sn  0.000  0.369  0.066 (multiplicity 8)
S  0.000  0.000  0.000 (multiplicity 4)
S  0.000  0.281  0.623 (multiplicity 8)
S  0.000  0.461  0.250 (multiplicity 4)


Please write out number 6 again, unchanged.
Diffraction record for Nd7SnS5. The PXRD pattern is calculated, not measured: it uses the GGA-PBE geometry in Alexandria and Cu Kα (λ = 1.5418 Å).
Lines closer than 0.1° are merged.

Peak list (6 most intense, 15° ≤ 2θ ≤ 90°, by intensity)
(hkl), d_spacing, Rel. int.
0 2 7, 3.083, 100
1 3 2, 2.953, 73
1 3 3, 2.850, 49
1 1 4, 3.324, 47
2 2 7, 1.724, 29
2 0 0, 2.079, 26

a = 4.159 Å, b = 13.399 Å, c = 24.330 Å
α = 90.00°, β = 90.00°, γ = 90.00°
Space group Cmcm (No. 63)
Unique sites:
Nd  0.000  0.025  0.250 (multiplicity 4)
Nd  0.000  0.136  0.536 (multiplicity 8)
Nd  0.000  0.324  0.173 (multiplicity 8)
Nd  0.000  0.407  0.610 (multiplicity 8)
Sn  0.000  0.299  0.750 (multiplicity 4)
S  0.000  0.043  0.641 (multiplicity 8)
S  0.000  0.228  0.070 (multiplicity 8)
S  0.000  0.500  0.000 (multiplicity 4)